Theoretical powder diffractogram of Na5V7O14 for λ = 1.5418 Å (Cu Kα), from a structure optimized by DFT (GGA+U).
Peak positions follow from Bragg's law for the DFT cell and can differ from measured ones.

Atomic structure:
a = 5.201 Å, b = 7.267 Å, c = 8.392 Å
α = 90.60°, β = 102.66°, γ = 98.17°
Space group P-1 (No. 2)
One atom of each set of equivalent atoms:
Na: 0.000 0.000 0.000 (multiplicity 1)
Na: 0.285 0.568 0.568 (multiplicity 2)
Na: 0.422 0.845 0.848 (multiplicity 2)
V: 0.076 0.141 0.646 (multiplicity 2)
V: 0.214 0.427 0.931 (multiplicity 2)
V: 0.353 0.713 0.212 (multiplicity 2)
V: 0.500 0.000 0.500 (multiplicity 1)
O: 0.017 0.604 0.294 (multiplicity 2)
O: 0.105 0.680 0.988 (multiplicity 2)
O: 0.198 0.890 0.577 (multiplicity 2)
O: 0.257 0.966 0.275 (multiplicity 2)
O: 0.321 0.169 0.874 (multiplicity 2)
O: 0.402 0.252 0.563 (multiplicity 2)
O: 0.468 0.461 0.149 (multiplicity 2)

Top 10 peaks for 2θ from 10° to 90°, by angle:
| hkl | d [Å] | 2θ (°) | Rel. int. |
| --- | --- | --- | --- |
| 0 1 -1 | 5.518 | 16.06 | 100.0 |
| 0 2 -2 | 2.759 | 32.45 | 14.1 |
| 1 1 2 | 2.566 | 34.97 | 10.1 |
| 2 -1 0 | 2.484 | 36.16 | 14.4 |
| -1 3 1 | 2.248 | 40.11 | 39.1 |
| 1 0 3 | 2.199 | 41.04 | 35.8 |
| 2 1 -2 | 2.193 | 41.17 | 35.3 |
| 2 -3 2 | 1.626 | 56.61 | 9.9 |
| 1 4 -1 | 1.621 | 56.80 | 9.6 |
| 0 3 4 | 1.523 | 60.81 | 19.8 |



Theoretical powder diffractogram of SrInGaWO6 for λ = 1.5418 Å (Cu Kα), from a structure optimized by DFT (GGA+U).
Peak positions follow from Bragg's law for the DFT cell and can differ from measured ones.

Atomic structure:
a = 7.990 Å, b = 7.990 Å, c = 7.990 Å
α = 90.00°, β = 90.00°, γ = 90.00°
Space group F-43m (No. 216)
One atom of each set of equivalent atoms:
Sr: 0.000 0.000 0.000 (multiplicity 4)
In: 0.000 0.000 0.500 (multiplicity 4)
Ga: 0.250 0.250 0.750 (multiplicity 4)
W: 0.250 0.250 0.250 (multiplicity 4)
O: 0.004 0.250 0.250 (multiplicity 24)

Top 10 peaks for 2θ from 10° to 90°, by angle:
| hkl | d [Å] | 2θ (°) | Rel. int. |
| --- | --- | --- | --- |
| 1 1 1 | 4.613 | 19.24 | 15.9 |
| 2 0 0 | 3.995 | 22.25 | 4.7 |
| 2 2 0 | 2.825 | 31.67 | 100.0 |
| 3 1 1 | 2.409 | 37.33 | 8.6 |
| 4 0 0 | 1.997 | 45.41 | 30.8 |
| 3 3 1 | 1.833 | 49.74 | 3.7 |
| 4 2 2 | 1.631 | 56.42 | 39.5 |
| 4 4 0 | 1.412 | 66.16 | 18.6 |
| 6 2 0 | 1.263 | 75.21 | 17.1 |
| 4 4 4 | 1.153 | 83.90 | 6.3 |



Theoretical powder diffractogram of LiMnF4 for λ = 1.5418 Å (Cu Kα), from a structure optimized by DFT (GGA+U).
Peak positions follow from Bragg's law for the DFT cell and can differ from measured ones.

Atomic structure:
a = 6.382 Å, b = 6.701 Å, c = 3.188 Å
α = 90.00°, β = 90.00°, γ = 90.00°
Space group Cmmm (No. 65)
One atom of each set of equivalent atoms:
Li: 0.000 0.000 0.000 (multiplicity 2)
Mn: 0.000 0.500 0.500 (multiplicity 2)
F: 0.000 0.307 0.000 (multiplicity 4)
F: 0.211 0.000 0.500 (multiplicity 4)

Top 10 peaks for 2θ from 10° to 90°, by angle:
| hkl | d [Å] | 2θ (°) | Rel. int. |
| --- | --- | --- | --- |
| 1 1 0 | 4.622 | 19.20 | 100.0 |
| 0 2 0 | 3.351 | 26.60 | 36.8 |
| 2 0 0 | 3.190 | 27.97 | 44.2 |
| 1 1 1 | 2.624 | 34.17 | 20.9 |
| 0 2 1 | 2.309 | 39.00 | 71.3 |
| 3 1 0 | 2.028 | 44.69 | 26.4 |
| 1 3 1 | 1.758 | 52.00 | 29.0 |
| 3 1 1 | 1.711 | 53.56 | 19.6 |
| 0 0 2 | 1.595 | 57.82 | 22.2 |
| 3 3 1 | 1.387 | 67.53 | 21.9 |



Theoretical powder diffractogram of Li4FeP2O8 for λ = 1.5418 Å (Cu Kα), from a structure optimized by DFT (GGA+U).
Peak positions follow from Bragg's law for the DFT cell and can differ from measured ones.

Atomic structure:
a = 8.279 Å, b = 10.479 Å, c = 8.221 Å
α = 90.00°, β = 104.28°, γ = 90.00°
Space group P2_1/c (No. 14)
One atom of each set of equivalent atoms:
Li: 0.024 0.073 0.274 (multiplicity 4)
Li: 0.102 0.162 0.602 (multiplicity 4)
Li: 0.151 0.663 0.654 (multiplicity 4)
Li: 0.349 0.153 0.350 (multiplicity 4)
Fe: 0.407 0.657 0.409 (multiplicity 4)
P: 0.209 0.092 0.975 (multiplicity 4)
P: 0.266 0.594 0.030 (multiplicity 4)
O: 0.062 0.098 0.816 (multiplicity 4)
O: 0.116 0.654 0.086 (multiplicity 4)
O: 0.161 0.153 0.128 (multiplicity 4)
O: 0.226 0.047 0.479 (multiplicity 4)
O: 0.257 0.551 0.515 (multiplicity 4)
O: 0.297 0.669 0.877 (multiplicity 4)
O: 0.360 0.166 0.938 (multiplicity 4)
O: 0.426 0.609 0.176 (multiplicity 4)

Top 10 peaks for 2θ from 10° to 90°, by angle:
| hkl | d [Å] | 2θ (°) | Rel. int. |
| --- | --- | --- | --- |
| 1 1 0 | 6.358 | 13.93 | 47.3 |
| 0 2 1 | 4.381 | 20.27 | 30.6 |
| 1 2 -1 | 4.083 | 21.77 | 100.0 |
| 2 0 0 | 4.012 | 22.16 | 28.3 |
| 0 0 2 | 3.983 | 22.32 | 86.3 |
| 2 1 0 | 3.745 | 23.76 | 50.5 |
| 2 2 -2 | 2.766 | 32.37 | 57.7 |
| 0 4 0 | 2.620 | 34.23 | 45.3 |
| 2 0 2 | 2.531 | 35.46 | 59.2 |
| 4 0 -4 | 1.629 | 56.49 | 27.5 |